Diffraction record for Li3Mg. The powder diffractogram is computed, not measured: it uses a crystal structure in the Materials Project, relaxed with PBE and Cu Kα (weighted mean of Kα1 and Kα2).
Neutral-atom scattering factors, no anomalous dispersion.

Largest 10 diffraction maxima, by intensity, 2θ = 10–90°:
2θ = 37.1°, rel. 100.0; 2θ = 22.5°, rel. 64.0; 2θ = 66.9°, rel. 33.6; 2θ = 26.0°, rel. 33.1; 2θ = 43.8°, rel. 30.9; 2θ = 53.5°, rel. 17.1; 2θ = 58.8°, rel. 12.3; 2θ = 60.4°, rel. 11.2; 2θ = 79.1°, rel. 9.8; 2θ = 45.9°, rel. 9.0

```
4
Lattice="0.000 3.425 3.425 3.425 0.000 3.425 3.425 3.425 0.000" Properties=species:S:1:pos:R:3 pbc="T T T"
Li 0.000 0.000 0.000
Li 1.713 1.713 1.713
Li 5.138 5.138 5.138
Mg 3.425 3.425 3.425
```

---

Diffraction record for LiMg. The powder diffractogram is computed, not measured: it uses a crystal structure in the Materials Project, relaxed with PBE and Cu Kα (weighted mean of Kα1 and Kα2).
Neutral-atom scattering factors, no anomalous dispersion.

Largest 10 diffraction maxima, by intensity, 2θ = 10–90°:
2θ = 37.4°, rel. 100.0; 2θ = 11.1°, rel. 97.4; 2θ = 38.4°, rel. 38.2; 2θ = 35.7°, rel. 33.1; 2θ = 28.6°, rel. 25.2; 2θ = 32.7°, rel. 22.5; 2θ = 49.2°, rel. 20.6; 2θ = 33.7°, rel. 19.4; 2θ = 65.2°, rel. 16.5; 2θ = 59.8°, rel. 16.4

```
6
Lattice="5.036 0.000 0.000 0.000 1.600 7.948 0.000 -1.600 7.948" Properties=species:S:1:pos:R:3 pbc="T T T"
Li 0.000 0.000 0.000
Li 0.000 0.000 5.299
Li 2.518 0.000 14.100
Mg 0.000 0.000 10.589
Mg 2.518 0.000 3.547
Mg 2.518 0.000 8.721
```

---

Diffraction record for LiMg7. The powder diffractogram is computed, not measured: it uses a crystal structure in the Materials Project, relaxed with PBE and Cu Kα (weighted mean of Kα1 and Kα2).
Neutral-atom scattering factors, no anomalous dispersion.

Largest 10 diffraction maxima, by intensity, 2θ = 10–90°:
2θ = 37.1°, rel. 100.0; 2θ = 34.5°, rel. 27.2; 2θ = 32.7°, rel. 24.5; 2θ = 63.5°, rel. 19.3; 2θ = 69.5°, rel. 19.1; 2θ = 58.3°, rel. 16.8; 2θ = 48.2°, rel. 15.8; 2θ = 71.1°, rel. 13.4; 2θ = 16.2°, rel. 6.6; 2θ = 23.6°, rel. 5.7

```
8
Lattice="6.332 0.000 0.000 -3.166 5.484 0.000 0.000 0.000 5.204" Properties=species:S:1:pos:R:3 pbc="T T T"
Li 0.000 0.000 0.000
Mg -1.582 2.742 0.000
Mg 0.000 1.820 2.602
Mg -1.589 4.573 2.602
Mg 0.000 5.483 0.000
Mg 1.582 2.742 0.000
Mg 3.166 1.828 2.602
Mg 1.589 4.573 2.602
```

---

Diffraction record for LiMg. The powder diffractogram is computed, not measured: it uses a crystal structure in the Materials Project, relaxed with PBE and Cu Kα (weighted mean of Kα1 and Kα2).
Neutral-atom scattering factors, no anomalous dispersion.

Largest 10 diffraction maxima, by intensity, 2θ = 10–90°:
2θ = 37.3°, rel. 100.0; 2θ = 25.6°, rel. 62.1; 2θ = 26.7°, rel. 27.9; 2θ = 36.4°, rel. 26.6; 2θ = 36.6°, rel. 26.5; 2θ = 52.6°, rel. 17.9; 2θ = 66.3°, rel. 17.2; 2θ = 66.1°, rel. 17.2; 2θ = 45.7°, rel. 12.2; 2θ = 45.9°, rel. 12.1

```
4
Lattice="4.913 0.000 0.000 0.000 3.340 0.000 0.000 0.000 4.934" Properties=species:S:1:pos:R:3 pbc="T T T"
Li 1.228 0.000 1.198
Li 3.684 0.000 3.736
Mg 1.228 1.670 3.670
Mg 3.684 1.670 1.264
```

---

Diffraction record for LiMg. The powder diffractogram is computed, not measured: it uses a crystal structure in the Materials Project, relaxed with PBE and Cu Kα (weighted mean of Kα1 and Kα2).
Neutral-atom scattering factors, no anomalous dispersion.

Largest 10 diffraction maxima, by intensity, 2θ = 10–90°:
2θ = 18.9°, rel. 100.0; 2θ = 38.2°, rel. 87.1; 2θ = 37.9°, rel. 59.2; 2θ = 35.4°, rel. 47.7; 2θ = 33.5°, rel. 41.9; 2θ = 30.3°, rel. 33.7; 2θ = 59.9°, rel. 29.6; 2θ = 37.8°, rel. 29.2; 2θ = 31.1°, rel. 28.7; 2θ = 45.6°, rel. 19.3

```
4
Lattice="5.697 -1.544 0.000 5.697 1.544 0.000 -2.446 0.000 4.764" Properties=species:S:1:pos:R:3 pbc="T T T"
Li 0.713 0.000 1.389
Li 8.235 0.000 3.375
Mg 3.783 0.000 0.984
Mg 5.165 0.000 3.780
```

---

Diffraction record for LiMg. The powder diffractogram is computed, not measured: it uses a crystal structure in the Materials Project, relaxed with PBE and Cu Kα (weighted mean of Kα1 and Kα2).
Neutral-atom scattering factors, no anomalous dispersion.

Largest 10 diffraction maxima, by intensity, 2θ = 10–90°:
2θ = 38.2°, rel. 100.0; 2θ = 19.2°, rel. 58.3; 2θ = 37.9°, rel. 53.0; 2θ = 35.3°, rel. 41.5; 2θ = 26.2°, rel. 38.4; 2θ = 33.7°, rel. 28.0; 2θ = 26.0°, rel. 19.6; 2θ = 65.4°, rel. 19.4; 2θ = 71.5°, rel. 19.2; 2θ = 49.7°, rel. 18.1

```
6
Lattice="5.079 0.000 0.000 0.000 4.585 2.682 0.000 -4.585 2.682" Properties=species:S:1:pos:R:3 pbc="T T T"
Li 0.000 0.000 0.000
Li 2.539 -1.526 0.893
Li 2.539 1.526 0.893
Mg 0.000 -1.540 2.672
Mg 0.000 1.540 2.672
Mg 2.539 0.000 3.590
```